Record 1
Calculated XRD peak list
Compound: Rb2Hg13
Radiation: Cu Kα, 1.54184 Å
Structure: a DFT-relaxed cell (PBE, Alexandria)
No peak broadening, texture or thermal motion is included.

The 10 most intense peaks (2θ from 10° to 80°), by angle:
2θ (°)	I (rel.)	hkl
13.52	33	0 1 2
24.20	29	0 0 6
27.24	25	0 2 4
29.32	26	2 1 1
30.41	15	1 0 7
35.27	100	3 0 3
41.36	42	0 3 6
50.15	16	3 0 9
58.99	21	3 3 0
60.85	18	0 3 12

Cell and atoms:
Cell lengths 9.3947, 9.3947, 22.0699 Å; angles 90.00, 90.00, 120.00 degrees
Space group R-3m (No. 166, hexagonal axes)
Symmetry-distinct sites (fractional):
Rb: 0.0000 0.0000 0.2233 (multiplicity 6)
Hg: 0.0000 0.0000 0.5000 (multiplicity 3)
Hg: 0.0968 0.5484 0.0584 (multiplicity 18)
Hg: 0.1078 0.5539 0.7374 (multiplicity 18)

=====

Record 2
Calculated XRD peak list
Compound: CePmDy2Er4
Radiation: Cu Kα, 1.54184 Å
Structure: a DFT-relaxed cell (PBE, Alexandria)
No peak broadening, texture or thermal motion is included.

The 10 most intense peaks (2θ from 10° to 80°), by angle:
2θ (°)	I (rel.)	hkl
30.98	100	1 1 2
35.81	34	2 0 0
36.16	17	0 0 4
51.54	12	2 2 0
51.80	24	2 0 4
61.36	29	3 1 2
61.83	14	1 1 6
64.57	12	2 2 4
75.88	4	4 0 0
76.73	2	0 0 8

Cell and atoms:
Cell lengths 5.016, 5.016, 9.936 Å; angles 90.00, 90.00, 90.00 degrees
Space group P4/mmm (No. 123)
Symmetry-distinct sites (fractional):
Ce: 0.000 0.000 0.000 (multiplicity 1)
Pm: 0.500 0.500 0.500 (multiplicity 1)
Dy: 0.000 0.000 0.500 (multiplicity 1)
Dy: 0.500 0.500 0.000 (multiplicity 1)
Er: 0.000 0.500 0.247 (multiplicity 4)